This entry pairs a crystal structure of TbFe2Co9 with its computed powder X-ray diffraction pattern. Radiation: copper Kα. Structure: a PBE-relaxed structure.

Largest 10 diffraction maxima, in order of rising 2θ, 15 to 90 degrees two-theta:
- 2θ 35.39, rel. 22, hkl 3 1 0
- 2θ 37.06, rel. 37, hkl 2 2 1
- 2θ 40.45, rel. 100, hkl 3 1 1
- 2θ 44.84, rel. 41, hkl 2 0 2
- 2θ 45.13, rel. 32, hkl 3 2 1
- 2θ 46.32, rel. 56, hkl 2 1 2
- 2θ 46.69, rel. 43, hkl 4 1 0
- 2θ 50.89, rel. 25, hkl 4 2 0
- 2θ 72.38, rel. 17, hkl 5 1 2
- 2θ 87.47, rel. 15, hkl 6 2 2

Structure:
a b c (Å): 8.021 8.021 4.681
angles (deg): 90.00 90.00 90.00
Space group P4/mbm (No. 127)
Unique sites:
Tb (0.000, 0.000, 0.000) (multiplicity 2)
Fe (0.115, 0.385, 0.000) (multiplicity 4)
Co (0.000, 0.500, 0.500) (multiplicity 2)
Co (0.065, 0.214, 0.500) (multiplicity 8)
Co (0.179, 0.679, 0.235) (multiplicity 8)

---

This entry pairs a crystal structure of Tb2Fe3Co4 with its computed powder X-ray diffraction pattern. Radiation: copper Kα. Structure: a PBE-relaxed structure.

Largest 10 diffraction maxima, in order of rising 2θ, 15 to 90 degrees two-theta:
- 2θ 21.96, rel. 19, hkl 1 1 1
- 2θ 31.44, rel. 29, hkl 1 1 2
- 2θ 36.07, rel. 53, hkl 1 3 2
- 2θ 37.57, rel. 100, hkl 1 5 1
- 2θ 38.36, rel. 50, hkl 2 2 1
- 2θ 41.00, rel. 46, hkl 0 2 3
- 2θ 42.15, rel. 27, hkl 2 4 0
- 2θ 42.92, rel. 65, hkl 2 0 2
- 2θ 62.92, rel. 21, hkl 3 5 1
- 2θ 76.53, rel. 19, hkl 2 6 4

Structure:
a b c (Å): 5.309 14.542 6.930
angles (deg): 90.00 90.00 90.00
Space group Cmce (No. 64)
Unique sites:
Tb (0.000, 0.105, 0.092) (multiplicity 8)
Fe (0.000, 0.000, 0.500) (multiplicity 4)
Fe (0.250, 0.232, 0.750) (multiplicity 8)
Co (0.000, 0.172, 0.494) (multiplicity 8)
Co (0.250, 0.071, 0.750) (multiplicity 8)

---

This entry pairs a crystal structure of FeCoTe2 with its computed powder X-ray diffraction pattern. Radiation: copper Kα. Structure: a PBE-relaxed structure.

Largest 10 diffraction maxima, in order of rising 2θ, 15 to 90 degrees two-theta:
- 2θ 27.39, rel. 100, hkl 1 0 1
- 2θ 33.30, rel. 8, hkl 1 1 0
- 2θ 36.31, rel. 13, hkl 1 1 1
- 2θ 44.28, rel. 59, hkl 1 1 2
- 2θ 47.81, rel. 24, hkl 2 0 0
- 2θ 49.60, rel. 19, hkl 1 0 3
- 2θ 55.98, rel. 27, hkl 2 1 1
- 2θ 71.36, rel. 13, hkl 2 1 3
- 2θ 78.93, rel. 10, hkl 2 0 4
- 2θ 86.62, rel. 16, hkl 3 1 2

Structure:
a b c (Å): 3.805 3.805 6.297
angles (deg): 90.00 90.00 90.00
Space group P-4m2 (No. 115)
Unique sites:
Fe (0.000, 0.000, 0.000) (multiplicity 1)
Co (0.500, 0.500, 0.000) (multiplicity 1)
Te (0.000, 0.500, 0.256) (multiplicity 2)

---

This entry pairs a crystal structure of TiFe3Co4 with its computed powder X-ray diffraction pattern. Radiation: copper Kα. Structure: a PBE-relaxed structure.

Largest 9 diffraction maxima, in order of rising 2θ, 15 to 90 degrees two-theta:
- 2θ 44.38, rel. 100, hkl 1 1 2
- 2θ 44.75, rel. 24, hkl 0 0 4
- 2θ 45.13, rel. 24, hkl 0 2 0
- 2θ 63.68, rel. 8, hkl 2 0 0
- 2θ 65.44, rel. 14, hkl 0 2 4
- 2θ 81.16, rel. 7, hkl 2 0 4
- 2θ 81.44, rel. 7, hkl 2 2 0
- 2θ 82.23, rel. 14, hkl 1 1 6
- 2θ 82.78, rel. 14, hkl 1 3 2

Structure:
a b c (Å): 2.923 4.018 8.101
angles (deg): 90.00 90.00 90.00
Space group Pmmm (No. 47)
Unique sites:
Ti (0.000, 0.000, 0.000) (multiplicity 1)
Fe (0.000, 0.000, 0.500) (multiplicity 1)
Fe (0.000, 0.500, 0.255) (multiplicity 2)
Co (0.500, 0.000, 0.255) (multiplicity 2)
Co (0.500, 0.500, 0.000) (multiplicity 1)
Co (0.500, 0.500, 0.500) (multiplicity 1)